1.
Structure and theoretical XRD peak list of Fe6SiB (a structure optimized by DFT (GGA-PBE); copper Kα).
Lines closer than 0.1° are merged.

Largest 10 diffraction maxima, low angle first, 2θ from 5° to 70°:
index, Position (°2θ), Rel. int.
2 1 1, 36.47, 63
1 1 2, 40.25, 40
2 0 2, 41.80, 100
0 2 1, 42.89, 55
3 1 0, 44.13, 54
1 2 1, 44.95, 69
2 1 2, 46.51, 45
3 1 1, 47.22, 33
2 2 1, 50.75, 51
0 1 3, 53.49, 41

Cell and atoms:
Cell: 6.8946 4.5603 5.5455 Å, 90.00 90.00 90.00°
Space group Pmc2_1 (No. 26)
One atom of each set of equivalent atoms:
Fe 0.0000 0.1183 0.0000 (multiplicity 2)
Fe 0.1817 0.4022 0.6516 (multiplicity 4)
Fe 0.2809 0.1106 0.2907 (multiplicity 4)
Fe 0.5000 0.3397 0.9791 (multiplicity 2)
Si 0.5000 0.1811 0.5890 (multiplicity 2)
B 0.0000 0.3220 0.3567 (multiplicity 2)

=====

2.
Structure and theoretical XRD peak list of TbDyPa (a structure optimized by DFT (GGA-PBE); copper Kα).
Lines closer than 0.1° are merged.

Largest 10 diffraction maxima, low angle first, 2θ from 5° to 70°:
index, Position (°2θ), Rel. int.
0 0 2, 11.67, 9
1 0 3, 31.72, 100
0 0 6, 35.52, 17
1 1 0, 37.41, 33
1 0 5, 39.83, 5
1 1 6, 52.54, 23
2 0 0, 53.94, 12
1 0 9, 61.41, 13
2 1 3, 63.94, 27
2 0 6, 66.26, 12

Cell and atoms:
Cell: 3.3996 3.3996 15.1648 Å, 90.00 90.00 90.00°
Space group I4mm (No. 107)
One atom of each set of equivalent atoms:
Tb 0.0000 0.0000 0.0000 (multiplicity 2)
Dy 0.0000 0.0000 0.6871 (multiplicity 2)
Pa 0.0000 0.0000 0.3432 (multiplicity 2)

=====

3.
Structure and theoretical XRD peak list of Ba2Tl5Pb12 (a structure optimized by DFT (GGA-PBE); copper Kα).
Lines closer than 0.1° are merged.

Largest 10 diffraction maxima, low angle first, 2θ from 5° to 70°:
index, Position (°2θ), Rel. int.
3 0 0, 26.79, 25
0 2 4, 27.64, 31
2 2 0, 31.03, 58
0 3 3, 31.21, 88
0 0 6, 31.73, 43
2 0 5, 31.94, 29
2 2 3, 34.96, 100
1 1 6, 35.43, 27
6 0 0, 55.22, 32
0 3 9, 56.18, 23

Cell and atoms:
Cell: 11.5268 11.5268 16.9256 Å, 90.00 90.00 120.00°
Space group R-3m (No. 166, hexagonal axes)
One atom of each set of equivalent atoms:
Ba 0.0000 0.0000 0.1575 (multiplicity 6)
Tl 0.0000 0.0000 0.3976 (multiplicity 6)
Tl 0.0000 0.5000 0.0000 (multiplicity 9)
Pb 0.0000 0.2945 0.5000 (multiplicity 18)
Pb 0.0081 0.5041 0.6476 (multiplicity 18)

=====

4.
Structure and theoretical XRD peak list of Rb3HCl6 (a structure optimized by DFT (GGA-PBE); copper Kα).
Lines closer than 0.1° are merged.

Largest 10 diffraction maxima, low angle first, 2θ from 5° to 70°:
index, Position (°2θ), Rel. int.
2 0 0, 21.11, 36
1 1 2, 24.64, 72
2 0 2, 28.91, 69
2 2 0, 30.03, 100
1 0 3, 31.37, 18
2 1 3, 38.12, 23
3 1 2, 39.22, 42
4 0 0, 42.99, 34
2 2 4, 50.52, 26
4 2 2, 52.63, 22

Cell and atoms:
Cell: 8.4163 8.4163 9.0939 Å, 90.00 90.00 90.00°
Space group I4/mmm (No. 139)
One atom of each set of equivalent atoms:
Rb 0.0000 0.0000 0.0000 (multiplicity 2)
Rb 0.0000 0.5000 0.2500 (multiplicity 4)
H 0.0000 0.0000 0.5000 (multiplicity 2)
Cl 0.0000 0.0000 0.3324 (multiplicity 4)
Cl 0.2430 0.2430 0.5000 (multiplicity 8)

=====

5.
Structure and theoretical XRD peak list of KRbNiH6 (a structure optimized by DFT (GGA-PBE); copper Kα).
Lines closer than 0.1° are merged.

Largest 10 diffraction maxima, low angle first, 2θ from 5° to 70°:
index, Position (°2θ), Rel. int.
1 0 0, 17.06, 14
0 0 1, 18.59, 13
1 -1 0, 25.30, 100
1 0 -1, 25.39, 50
0 2 1, 32.49, 77
2 1 0, 39.41, 21
1 0 2, 41.53, 13
1 2 0, 41.64, 15
-1 2 2, 41.79, 11
1 1 -2, 53.78, 11

Cell and atoms:
Cell: 5.1984 5.5052 5.5103 Å, 60.12 89.63 89.79°
Space group P1 (No. 1)
One atom of each set of equivalent atoms:
K 0.0000 0.0000 0.0000 (multiplicity 1)
Rb 0.5158 0.6665 0.6649 (multiplicity 1)
Ni 0.2011 0.3333 0.3327 (multiplicity 1)
H 0.0337 0.0724 0.4637 (multiplicity 1)
H 0.0340 0.4636 0.0727 (multiplicity 1)
H 0.0335 0.4642 0.4640 (multiplicity 1)
H 0.3722 0.2044 0.2035 (multiplicity 1)
H 0.3716 0.2051 0.5885 (multiplicity 1)
H 0.3719 0.5899 0.2039 (multiplicity 1)

=====

6.
Structure and theoretical XRD peak list of Cd4In3Hg9 (a structure optimized by DFT (GGA-PBE); copper Kα).
Lines closer than 0.1° are merged.

Largest 10 diffraction maxima, low angle first, 2θ from 5° to 70°:
index, Position (°2θ), Rel. int.
2 -1 3, 26.39, 93
2 0 2, 29.36, 25
2 -1 6, 30.66, 54
0 1 11, 35.91, 29
1 1 9, 36.78, 100
3 -2 2, 38.81, 36
3 -1 4, 40.23, 24
1 2 5, 41.27, 33
3 0 0, 43.70, 42
2 1 7, 43.95, 28

Cell and atoms:
Cell: 7.1748 7.1748 30.0425 Å, 90.00 90.00 120.00°
Space group R3 (No. 146, hexagonal axes)
One atom of each set of equivalent atoms:
Cd 0.0000 0.0000 0.0000 (multiplicity 3)
Cd 0.0000 0.0000 0.0982 (multiplicity 3)
Cd 0.0000 0.0000 0.4591 (multiplicity 3)
Cd 0.0000 0.0000 0.5569 (multiplicity 3)
In 0.0000 0.0000 0.2058 (multiplicity 3)
In 0.0000 0.0000 0.6751 (multiplicity 3)
In 0.0000 0.0000 0.8998 (multiplicity 3)
Hg 0.0219 0.2867 0.2828 (multiplicity 9)
Hg 0.0252 0.7565 0.8182 (multiplicity 9)
Hg 0.0809 0.6725 0.0446 (multiplicity 9)

=====

7.
Structure and theoretical XRD peak list of AcEr3Cd2 (a structure optimized by DFT (GGA-PBE); copper Kα).
Lines closer than 0.1° are merged.

Largest 10 diffraction maxima, low angle first, 2θ from 5° to 70°:
index, Position (°2θ), Rel. int.
1 0 2, 27.71, 18
1 0 3, 31.95, 100
1 1 0, 33.96, 56
1 0 4, 37.15, 10
1 1 4, 44.63, 8
2 0 0, 48.79, 20
1 1 5, 49.80, 7
1 1 6, 55.62, 8
1 0 7, 56.34, 7
2 1 3, 59.52, 34

Cell and atoms:
Cell: 3.7329 3.7329 12.7126 Å, 90.00 90.00 90.00°
Space group P4/mmm (No. 123)
One atom of each set of equivalent atoms:
Ac 0.0000 0.0000 0.0000 (multiplicity 1)
Er 0.5000 0.5000 0.2102 (multiplicity 2)
Er 0.5000 0.5000 0.5000 (multiplicity 1)
Cd 0.0000 0.0000 0.3554 (multiplicity 2)